Calculated powder diffractogram
Compound: CrN2
Radiation: CuKα
Structure: a DFT-relaxed cell (GGA-PBE, the Materials Project)
Intensities are scaled so that the largest is 100.

Structure:
Unit cell a=5.5709 b=5.5709 c=5.5709 alpha=128.18 beta=77.51 gamma=126.73
Sites, in units of the cell vectors:
Cr 0.2500 0.2500 0.0000
Cr 0.7500 0.7500 0.0000
N 0.0994 0.1798 0.2792
N 0.4006 0.6798 0.0804
N 0.5994 0.3202 0.9196
N 0.9006 0.8202 0.7208

Largest 6 diffraction maxima, low angle first, 10° ≤ 2θ ≤ 80°:
| two_theta | I/Imax |
| --- | --- |
| 20.44 | 51 |
| 20.91 | 100 |
| 36.09 | 14 |
| 41.97 | 14 |
| 51.86 | 12 |
| 56.14 | 10 |



Calculated powder diffractogram
Compound: Te
Radiation: CuKα
Structure: a DFT-relaxed cell (GGA-PBE, the Materials Project)
Intensities are scaled so that the largest is 100.

Structure:
Unit cell a=4.5067 b=4.5067 c=5.9621 alpha=90.00 beta=90.00 gamma=120.00
Sites, in units of the cell vectors:
Te 0.0000 0.2691 0.3333
Te 0.2691 0.0000 0.6667
Te 0.7309 0.7309 0.0000

Largest 6 diffraction maxima, low angle first, 10° ≤ 2θ ≤ 80°:
| two_theta | I/Imax |
| --- | --- |
| 27.31 | 100 |
| 37.98 | 41 |
| 40.01 | 27 |
| 49.12 | 19 |
| 56.35 | 13 |
| 62.29 | 15 |



Calculated powder diffractogram
Compound: GeSbTe3
Radiation: CuKα
Structure: a DFT-relaxed cell (GGA-PBE, the Materials Project)
Intensities are scaled so that the largest is 100.

Structure:
Unit cell a=10.1659 b=10.1659 c=10.1659 alpha=23.88 beta=23.88 gamma=23.88
Sites, in units of the cell vectors:
Ge 0.0000 0.0000 0.0000
Sb 0.7999 0.7999 0.7999
Te 0.1948 0.1948 0.1948
Te 0.4005 0.4005 0.4005
Te 0.6157 0.6157 0.6157

Largest 6 diffraction maxima, low angle first, 10° ≤ 2θ ≤ 80°:
| two_theta | I/Imax |
| --- | --- |
| 28.77 | 100 |
| 39.20 | 37 |
| 43.00 | 35 |
| 52.56 | 18 |
| 64.76 | 13 |
| 70.17 | 15 |



Calculated powder diffractogram
Compound: K2Zn2Si8O19
Radiation: CuKα
Structure: a DFT-relaxed cell (GGA-PBE, the Materials Project)
Intensities are scaled so that the largest is 100.

Structure:
Unit cell a=7.4542 b=7.4542 c=12.5784 alpha=106.13 beta=106.13 gamma=40.54
Sites, in units of the cell vectors:
K 0.1230 0.1230 0.1487
K 0.8770 0.8770 0.8513
Zn 0.1635 0.2355 0.9113
Zn 0.7645 0.8365 0.0887
Si 0.2631 0.1449 0.6595
Si 0.3210 0.6743 0.3327
Si 0.3257 0.6790 0.6673
Si 0.3988 0.4552 0.0754
Si 0.5448 0.6012 0.9246
Si 0.6870 0.0612 0.5733
Si 0.8551 0.7369 0.3405
Si 0.9388 0.3130 0.4267
O 0.0107 0.8336 0.6259
O 0.0142 0.3355 0.5604
O 0.1403 0.4972 0.0335
O 0.1438 0.6415 0.3546
O 0.1664 0.9893 0.3741
O 0.1790 0.3102 0.7811
O 0.3456 0.6277 0.2009
O 0.3585 0.8562 0.6454
O 0.3723 0.6544 0.7991
O 0.3736 0.6264 0.0000
O 0.5028 0.8597 0.9665
O 0.5382 0.0440 0.6366
O 0.5484 0.3710 0.6006
O 0.6290 0.4516 0.3994
O 0.6645 0.9858 0.4396
O 0.6898 0.8210 0.2189
O 0.6990 0.1350 0.0716
O 0.8650 0.3010 0.9284
O 0.9560 0.4618 0.3634

Largest 6 diffraction maxima, low angle first, 10° ≤ 2θ ≤ 80°:
| two_theta | I/Imax |
| --- | --- |
| 24.90 | 36 |
| 25.79 | 22 |
| 26.43 | 100 |
| 29.06 | 41 |
| 29.75 | 29 |
| 35.56 | 22 |



Calculated powder diffractogram
Compound: TmCo3
Radiation: CuKα
Structure: a DFT-relaxed cell (GGA-PBE, the Materials Project)
Intensities are scaled so that the largest is 100.

Structure:
Unit cell a=8.5547 b=8.5547 c=8.5547 alpha=33.42 beta=33.42 gamma=33.42
Sites, in units of the cell vectors:
Tm 0.0000 0.0000 0.0000
Tm 0.1397 0.1397 0.1397
Tm 0.8603 0.8603 0.8603
Co 0.0795 0.5828 0.5828
Co 0.3349 0.3349 0.3349
Co 0.4172 0.4172 0.9205
Co 0.4172 0.9205 0.4172
Co 0.5000 0.5000 0.5000
Co 0.5828 0.0795 0.5828
Co 0.5828 0.5828 0.0795
Co 0.6651 0.6651 0.6651
Co 0.9205 0.4172 0.4172

Largest 6 diffraction maxima, low angle first, 10° ≤ 2θ ≤ 80°:
| two_theta | I/Imax |
| --- | --- |
| 33.37 | 55 |
| 36.42 | 45 |
| 36.53 | 58 |
| 42.61 | 40 |
| 43.07 | 100 |
| 65.71 | 26 |